# 1
Calculated powder XRD pattern of Pm5Bi4S for Cu Kα, from DFT lattice parameters and positions (GGA-PBE).
Kinematic intensities with the Lorentz-polarization factor, no thermal factor.

Crystal structure
Unit cell a=16.1174 b=16.1174 c=16.1174 alpha=163.96 beta=163.96 gamma=22.76
Fractional coordinates of all 10 atoms:
Pm (0.0000, 0.0000, 0.0000)
Pm (0.2011, 0.2011, 0.0000)
Pm (0.4091, 0.4091, 0.0000)
Pm (0.5909, 0.5909, 0.0000)
Pm (0.7989, 0.7989, 0.0000)
Bi (0.0992, 0.0992, 0.0000)
Bi (0.3037, 0.3037, 0.0000)
Bi (0.6963, 0.6963, 0.0000)
Bi (0.9008, 0.9008, 0.0000)
S (0.5000, 0.5000, 0.0000)

Most intense lines, 10 to 80 degrees two-theta, in order of rising 2θ:
two_theta  Rel. int.
28.1  100
28.2  44
40.1  38
40.2  69
49.8  38
72.9  25

---

# 2
Calculated powder XRD pattern of LaTb12Ho5 for Cu Kα, from DFT lattice parameters and positions (GGA-PBE).
Kinematic intensities with the Lorentz-polarization factor, no thermal factor.

Crystal structure
Unit cell a=10.6878 b=10.6878 c=5.0359 alpha=90.00 beta=90.00 gamma=90.02
Fractional coordinates of all 18 atoms:
La (0.0000, 0.0000, 0.0000)
Tb (0.9997, 0.3357, 0.0000)
Tb (0.0003, 0.6643, 0.0000)
Tb (0.1683, 0.5004, 0.5000)
Tb (0.1688, 0.1688, 0.5000)
Tb (0.3340, 0.3340, 0.0000)
Tb (0.3357, 0.9997, 0.0000)
Tb (0.5004, 0.1683, 0.5000)
Tb (0.4996, 0.8317, 0.5000)
Tb (0.6643, 0.0003, 0.0000)
Tb (0.6660, 0.6660, 0.0000)
Tb (0.8312, 0.8312, 0.5000)
Tb (0.8317, 0.4996, 0.5000)
Ho (0.1690, 0.8310, 0.5000)
Ho (0.3335, 0.6665, 0.0000)
Ho (0.5000, 0.5000, 0.5000)
Ho (0.6665, 0.3335, 0.0000)
Ho (0.8310, 0.1690, 0.5000)

Most intense lines, 10 to 80 degrees two-theta, in order of rising 2θ:
two_theta  Rel. int.
30.7  100
35.6  51
51.3  36
61.0  43
64.0  12
75.5  6

---

# 3
Calculated powder XRD pattern of K2RhO2 for Cu Kα, from DFT lattice parameters and positions (GGA-PBE).
Kinematic intensities with the Lorentz-polarization factor, no thermal factor.

Crystal structure
Unit cell a=5.7287 b=10.0810 c=3.1553 alpha=90.00 beta=90.00 gamma=90.00
Fractional coordinates of all 10 atoms:
K (0.0120, 0.1747, 0.0000)
K (0.4880, 0.6747, 0.0000)
K (0.5120, 0.3253, 0.0000)
K (0.9880, 0.8253, 0.0000)
Rh (0.0000, 0.5000, 0.0000)
Rh (0.5000, 0.0000, 0.0000)
O (0.1171, 0.6130, 0.5000)
O (0.3829, 0.1130, 0.5000)
O (0.6171, 0.8870, 0.5000)
O (0.8829, 0.3870, 0.5000)

Most intense lines, 10 to 80 degrees two-theta, in order of rising 2θ:
two_theta  Rel. int.
17.8  96
28.3  47
30.8  95
31.2  55
42.3  100
42.6  42

---

# 4
Calculated powder XRD pattern of Pm3Cd4Ag4 for Cu Kα, from DFT lattice parameters and positions (GGA-PBE).
Kinematic intensities with the Lorentz-polarization factor, no thermal factor.

Crystal structure
Unit cell a=3.4658 b=4.8646 c=15.7118 alpha=98.86 beta=96.27 gamma=90.10
Fractional coordinates of all 11 atoms:
Pm (0.0000, 0.0000, 0.0000)
Pm (0.1399, 0.6392, 0.2802)
Pm (0.8601, 0.3608, 0.7198)
Cd (0.2631, 0.2638, 0.5270)
Cd (0.4075, 0.9079, 0.8140)
Cd (0.5925, 0.0921, 0.1860)
Cd (0.7369, 0.7362, 0.4730)
Ag (0.3152, 0.8159, 0.6304)
Ag (0.4547, 0.4544, 0.9080)
Ag (0.5453, 0.5456, 0.0920)
Ag (0.6848, 0.1841, 0.3696)

Most intense lines, 10 to 80 degrees two-theta, in order of rising 2θ:
two_theta  Rel. int.
32.9  49
33.8  100
37.0  45
37.0  80
50.3  29
66.3  28

---

# 5
Calculated powder XRD pattern of LaSb2Ir for Cu Kα, from DFT lattice parameters and positions (GGA-PBE).
Kinematic intensities with the Lorentz-polarization factor, no thermal factor.

Crystal structure
Unit cell a=3.6141 b=5.4941 c=10.1034 alpha=90.00 beta=90.00 gamma=90.00
Fractional coordinates of all 8 atoms:
La (0.0000, 0.0000, 0.0000)
La (0.5000, 0.5000, 0.5000)
Sb (0.0000, 0.5000, 0.1995)
Sb (0.0000, 0.5000, 0.8005)
Sb (0.5000, 0.0000, 0.3005)
Sb (0.5000, 0.0000, 0.6995)
Ir (0.0000, 0.0000, 0.5000)
Ir (0.5000, 0.5000, 0.0000)

Most intense lines, 10 to 80 degrees two-theta, in order of rising 2θ:
two_theta  Rel. int.
18.4  14
32.6  35
34.6  100
35.5  14
59.5  21
61.4  11

---

# 6
Calculated powder XRD pattern of AlH4Pd12 for Cu Kα, from DFT lattice parameters and positions (GGA-PBE).
Kinematic intensities with the Lorentz-polarization factor, no thermal factor.

Crystal structure
Unit cell a=6.5434 b=6.5434 c=6.5434 alpha=109.47 beta=109.47 gamma=109.47
Fractional coordinates of all 17 atoms:
Al (0.0000, 0.0000, 0.0000)
H (0.0000, 0.0000, 0.5000)
H (0.0000, 0.5000, 0.0000)
H (0.5000, 0.0000, 0.0000)
H (0.5000, 0.5000, 0.5000)
Pd (0.1234, 0.3059, 0.8175)
Pd (0.1825, 0.4885, 0.3059)
Pd (0.1825, 0.8766, 0.6941)
Pd (0.3059, 0.1825, 0.4885)
Pd (0.3059, 0.8175, 0.1234)
Pd (0.4885, 0.3059, 0.1825)
Pd (0.5115, 0.6941, 0.8175)
Pd (0.6941, 0.1825, 0.8766)
Pd (0.6941, 0.8175, 0.5115)
Pd (0.8175, 0.1234, 0.3059)
Pd (0.8175, 0.5115, 0.6941)
Pd (0.8766, 0.6941, 0.1825)

Most intense lines, 10 to 80 degrees two-theta, in order of rising 2θ:
two_theta  Rel. int.
33.5  27
37.6  100
41.4  35
44.9  72
73.0  42
77.9  31

---

# 7
Calculated powder XRD pattern of Ac6Ir3Rh2Au for Cu Kα, from DFT lattice parameters and positions (GGA-PBE).
Kinematic intensities with the Lorentz-polarization factor, no thermal factor.

Crystal structure
Unit cell a=9.6613 b=9.6613 c=8.7192 alpha=102.53 beta=102.53 gamma=25.91
Fractional coordinates of all 12 atoms:
Ac (0.0014, 0.0014, 0.2693)
Ac (0.3250, 0.3250, 0.9116)
Ac (0.3329, 0.3329, 0.4106)
Ac (0.6671, 0.6671, 0.5894)
Ac (0.6750, 0.6750, 0.0884)
Ac (0.9986, 0.9986, 0.7307)
Ir (0.1605, 0.1605, 0.8373)
Ir (0.5000, 0.5000, 0.5000)
Ir (0.8395, 0.8395, 0.1627)
Rh (0.1650, 0.1650, 0.3315)
Rh (0.8350, 0.8350, 0.6685)
Au (0.5000, 0.5000, 0.0000)

Most intense lines, 10 to 80 degrees two-theta, in order of rising 2θ:
two_theta  Rel. int.
29.1  100
29.2  49
41.5  57
41.8  56
51.7  30
68.5  17